Record 1
Structure and simulated X-ray diffraction stick pattern of Ba3CaPd (a cell relaxed with PBE; Cu Kα (λ = 1.5418 Å)).
Neutral-atom scattering factors, no anomalous dispersion.

The 8 most intense peaks (10° ≤ 2θ ≤ 90°), sorted by position:
- 12.16 deg, 7.281 Å, intensity 38, (1 0 1)
- 16.19 deg, 5.475 Å, intensity 28, (1 0 2)
- 24.44 deg, 3.643 Å, intensity 100, (2 0 2)
- 26.67 deg, 3.343 Å, intensity 40, (1 2 2)
- 30.13 deg, 2.966 Å, intensity 42, (1 2 3)
- 34.16 deg, 2.625 Å, intensity 23, (1 3 1)
- 39.38 deg, 2.288 Å, intensity 26, (2 1 5)
- 44.72 deg, 2.026 Å, intensity 33, (4 1 1)

Crystal structure
```
data_Ba3CaPd
_space_group_name_H-M_alt 'P 41'
_space_group_IT_number 76
_cell_length_a 8.443
_cell_length_b 8.443
_cell_length_c 14.383
_cell_angle_alpha 90.00
_cell_angle_beta 90.00
_cell_angle_gamma 90.00
loop_
_space_group_symop_operation_xyz
'x,y,z'
'-y,x,z+1/4'
'-x,-y,z+1/2'
'y,-x,z+3/4'
loop_
_atom_site_label
_atom_site_fract_x
_atom_site_fract_y
_atom_site_fract_z
Ba1 0.019 0.308 0.000
Ba2 0.078 0.190 0.474
Ba3 0.333 0.424 0.256
Ca1 0.169 0.476 0.732
Pd1 0.102 0.603 0.121
```

Record 2
Structure and simulated X-ray diffraction stick pattern of BaCa4Pd2 (a cell relaxed with PBE; Cu Kα (λ = 1.5418 Å)).
Neutral-atom scattering factors, no anomalous dispersion.

The 8 most intense peaks (10° ≤ 2θ ≤ 90°), sorted by position:
- 13.88 deg, 6.379 Å, intensity 72, (0 1 1)
- 19.05 deg, 4.659 Å, intensity 66, (1 3 0)
- 25.63 deg, 3.476 Å, intensity 62, (2 1 1)
- 28.55 deg, 3.127 Å, intensity 66, (1 1 2)
- 29.44 deg, 3.034 Å, intensity 55, (0 5 1)
- 29.74 deg, 3.004 Å, intensity 88, (2 3 1)
- 33.57 deg, 2.669 Å, intensity 66, (0 4 2)
- 35.51 deg, 2.528 Å, intensity 100, (2 2 2)

Crystal structure
```
data_BaCa4Pd2
_space_group_name_H-M_alt 'I m a 2'
_space_group_IT_number 46
_cell_length_a 8.290
_cell_length_b 16.896
_cell_length_c 6.889
_cell_angle_alpha 90.00
_cell_angle_beta 90.00
_cell_angle_gamma 90.00
loop_
_space_group_symop_operation_xyz
'x,y,z'
'-x,-y,z'
'-x+1/2,y,z'
'x+1/2,-y,z'
'x+1/2,y+1/2,z+1/2'
'-x+1/2,-y+1/2,z+1/2'
'-x,y+1/2,z+1/2'
'x,-y+1/2,z+1/2'
loop_
_atom_site_label
_atom_site_fract_x
_atom_site_fract_y
_atom_site_fract_z
Ba1 0.250 0.117 0.000
Ca1 0.007 0.681 0.966
Ca2 0.250 0.505 0.018
Ca3 0.250 0.612 0.527
Pd1 0.000 0.000 0.233
Pd2 0.250 0.736 0.233
```

Record 3
Structure and simulated X-ray diffraction stick pattern of BaCa2Pd (a cell relaxed with PBE; Cu Kα (λ = 1.5418 Å)).
Neutral-atom scattering factors, no anomalous dispersion.

The 8 most intense peaks (10° ≤ 2θ ≤ 90°), sorted by position:
- 17.87 deg, 4.963 Å, intensity 62, (0 0 6)
- 24.15 deg, 3.685 Å, intensity 52, (1 0 1)
- 24.71 deg, 3.604 Å, intensity 32, (0 1 2)
- 28.32 deg, 3.151 Å, intensity 100, (0 1 5)
- 31.99 deg, 2.798 Å, intensity 34, (1 0 7)
- 42.14 deg, 2.144 Å, intensity 48, (1 1 0)
- 46.11 deg, 1.968 Å, intensity 32, (1 1 6)
- 46.58 deg, 1.950 Å, intensity 29, (1 0 13)

Crystal structure
```
data_BaCa2Pd
_space_group_name_H-M_alt 'R 3 m'
_space_group_IT_number 160
_space_group_name_Hall 'R 3 -2"'
_cell_length_a 4.2885
_cell_length_b 4.2885
_cell_length_c 29.7784
_cell_angle_alpha 90.00
_cell_angle_beta 90.00
_cell_angle_gamma 120.00
loop_
_atom_site_label
_atom_site_fract_x
_atom_site_fract_y
_atom_site_fract_z
Ba1 0.0000 0.0000 0.0000
Ca1 0.0000 0.0000 0.5489
Ca2 0.0000 0.0000 0.7811
Pd1 0.0000 0.0000 0.1647
```

Record 4
Structure and simulated X-ray diffraction stick pattern of Ba2CaPrTe4 (a cell relaxed with PBE; Cu Kα (λ = 1.5418 Å)).
Neutral-atom scattering factors, no anomalous dispersion.

The 8 most intense peaks (10° ≤ 2θ ≤ 90°), sorted by position:
- 26.54 deg, 3.359 Å, intensity 100, (1 1 1)
- 37.65 deg, 2.389 Å, intensity 36, (2 0 2)
- 38.11 deg, 2.362 Å, intensity 39, (0 2 0)
- 47.04 deg, 1.932 Å, intensity 21, (4 0 0)
- 54.65 deg, 1.680 Å, intensity 12, (2 2 2)
- 61.43 deg, 1.509 Å, intensity 15, (3 1 3)
- 62.03 deg, 1.496 Å, intensity 12, (4 2 0)
- 68.53 deg, 1.369 Å, intensity 8, (5 1 1)

Crystal structure
```
data_Ba2CaPrTe4
_space_group_name_H-M_alt 'P 1 2/m 1'
_space_group_IT_number 10
_cell_length_a 8.191
_cell_length_b 4.717
_cell_length_c 8.310
_cell_angle_alpha 90.00
_cell_angle_beta 109.17
_cell_angle_gamma 90.00
loop_
_space_group_symop_operation_xyz
'x,y,z'
'-x,-y,-z'
'-x,y,-z'
'x,-y,z'
loop_
_atom_site_label
_atom_site_fract_x
_atom_site_fract_y
_atom_site_fract_z
Ba1 0.000 0.000 0.000
Ba2 0.500 0.500 0.000
Ca1 0.000 0.500 0.500
Pr1 0.500 0.000 0.500
Te1 0.240 0.000 0.723
Te2 0.257 0.500 0.275
```